This entry pairs a crystal structure of Cs2Cr4CuH4O16 with its calculated powder X-ray diffraction pattern. Radiation: copper Kα. Structure: the GGA+U geometry in Alexandria.

The 10 most intense peaks (5 to 70 degrees two-theta), sorted by position:
d = 5.411 Å, 2θ 16.38, intensity 59, hkl 1 0 1; d = 3.741 Å, 2θ 23.79, intensity 42, hkl 1 1 2; d = 3.696 Å, 2θ 24.08, intensity 45, hkl 1 1 -1; d = 3.606 Å, 2θ 24.69, intensity 100, hkl -1 1 2; d = 3.428 Å, 2θ 25.99, intensity 68, hkl 0 2 0; d = 3.380 Å, 2θ 26.37, intensity 62, hkl 2 1 0; d = 3.287 Å, 2θ 27.13, intensity 38, hkl 2 -1 0; d = 3.179 Å, 2θ 28.07, intensity 29, hkl 1 2 2; d = 3.088 Å, 2θ 28.92, intensity 39, hkl 1 -2 0; d = 2.632 Å, 2θ 34.06, intensity 39, hkl 1 -1 2

Lattice parameters (Å, degrees): 7.6390 7.6913 8.4320 63.06 87.69 87.26
Fractional coordinates of all 27 atoms:
Cs 0.1862 0.2944 0.4697
Cs 0.8138 0.7056 0.5303
Cr 0.1393 0.2372 0.0292
Cr 0.3403 0.8258 0.2485
Cr 0.6597 0.1742 0.7515
Cr 0.8607 0.7628 0.9708
Cu 0.5000 0.5000 0.0000
H 0.2463 0.7338 0.8327
H 0.4265 0.8482 0.7768
H 0.5735 0.1518 0.2232
H 0.7537 0.2662 0.1673
O 0.0274 0.8007 0.8320
O 0.0797 0.3606 0.8255
O 0.1983 0.7349 0.4121
O 0.2333 0.0112 0.0556
O 0.2890 0.3534 0.0831
O 0.3742 0.7190 0.8096
O 0.4194 0.6531 0.2018
O 0.4971 0.9273 0.3027
O 0.5029 0.0727 0.6973
O 0.5806 0.3469 0.7982
O 0.6258 0.2810 0.1904
O 0.7110 0.6466 0.9169
O 0.7667 0.9888 0.9444
O 0.8017 0.2651 0.5879
O 0.9203 0.6394 0.1745
O 0.9726 0.1993 0.1680